Diffraction record for Ca6La2Mn7CrO24. The XRD peak list is calculated, not measured: it uses a structure optimized by DFT (GGA+U) and λ = 1.5418 Å (Cu Kα).
No peak broadening, texture or thermal motion is included.

Peak list (10 most intense, 10° ≤ 2θ ≤ 90°, by intensity)
d = 2.714 Å, I = 1000, (2 -2 0)
d = 1.919 Å, I = 543, (4 0 0)
d = 5.433 Å, I = 349, (1 1 0)
d = 1.563 Å, I = 337, (2 -4 2)
d = 2.728 Å, I = 248, (0 2 2)
d = 2.704 Å, I = 244, (0 2 -2)
d = 1.357 Å, I = 171, (4 0 -4)
d = 1.572 Å, I = 163, (-2 4 2)
d = 3.127 Å, I = 112, (1 2 -1)
d = 1.569 Å, I = 105, (-4 2 2)

Structural model:
```
Ca6La2Mn7CrO24
1.0
7.670 0.000 0.000
0.009 7.680 0.000
0.004 0.069 7.682
Ca La Mn Cr O
6 2 7 1 24
Direct
0.248 0.223 0.231 Ca
0.249 0.730 0.224 Ca
0.250 0.731 0.737 Ca
0.750 0.269 0.263 Ca
0.751 0.270 0.776 Ca
0.752 0.777 0.769 Ca
0.249 0.240 0.730 La
0.751 0.760 0.270 La
0.000 0.000 0.000 Mn
0.000 0.500 0.000 Mn
0.000 0.500 0.500 Mn
0.500 0.000 0.000 Mn
0.500 0.000 0.500 Mn
0.500 0.500 0.000 Mn
0.500 0.500 0.500 Mn
0.000 0.000 0.500 Cr
0.023 0.459 0.750 O
0.037 0.750 0.958 O
0.039 0.956 0.245 O
0.047 0.255 0.462 O
0.250 0.462 0.030 O
0.250 0.553 0.486 O
0.251 0.042 0.972 O
0.255 0.970 0.552 O
0.452 0.251 0.462 O
0.458 0.957 0.251 O
0.462 0.751 0.961 O
0.476 0.461 0.750 O
0.524 0.539 0.250 O
0.538 0.249 0.039 O
0.542 0.043 0.749 O
0.548 0.749 0.538 O
0.745 0.030 0.448 O
0.749 0.958 0.028 O
0.750 0.447 0.514 O
0.750 0.538 0.970 O
0.953 0.745 0.538 O
0.961 0.044 0.755 O
0.963 0.250 0.042 O
0.977 0.541 0.250 O
```